(1)
Diffraction record for Cs2GaP4H3O14. The PXRD pattern is theoretical, not measured: it uses a crystal structure in the Materials Project, relaxed with PBE and λ = 1.5418 Å (Cu Kα).
No peak broadening, texture or thermal motion is included.

Largest 12 diffraction maxima, low angle first, 2θ = 15–90°:
2θ 19.1, d = 4.650 Å, I 57, hkl 0 1 3
2θ 21.8, d = 4.072 Å, I 71, hkl 0 2 0
2θ 22.5, d = 3.951 Å, I 65, hkl 0 2 1
2θ 24.1, d = 3.687 Å, I 75, hkl 1 1 -3
2θ 24.4, d = 3.643 Å, I 73, hkl 1 1 2
2θ 25.0, d = 3.563 Å, I 63, hkl 1 0 -4
2θ 27.7, d = 3.220 Å, I 100, hkl 1 1 3
2θ 28.1, d = 3.174 Å, I 43, hkl 1 2 0
2θ 28.4, d = 3.138 Å, I 41, hkl 0 1 5
2θ 29.0, d = 3.078 Å, I 41, hkl 1 2 -2
2θ 34.4, d = 2.608 Å, I 37, hkl 0 2 5
2θ 38.3, d = 2.349 Å, I 38, hkl 1 3 -2

Crystal structure
```
data_Cs2GaP4H3O14
_chemical_formula_sum 'Cs4 Ga2 P8 H6 O28'
_space_group_name_H-M_alt 'P 1 21/c 1'
_space_group_IT_number 14
_cell_length_a 5.1498
_cell_length_b 8.1251
_cell_length_c 17.2464
_cell_angle_alpha 90.00
_cell_angle_beta 99.49
_cell_angle_gamma 90.00
loop_
_space_group_symop_operation_xyz
'x,y,z'
'-x,-y,-z'
'-x,y+1/2,-z+1/2'
'x,-y+1/2,z+1/2'
loop_
_atom_site_label
_atom_site_type_symbol
_atom_site_fract_x
_atom_site_fract_y
_atom_site_fract_z
_atom_site_occupancy
Cs1 Cs 0.0421 0.0842 0.1352 1
Ga1 Ga 0.0000 0.0000 0.5000 1
P1 P 0.3341 0.5570 0.1742 1
P2 P 0.4745 0.2255 0.4581 1
H1 H 0.3326 0.7100 0.7414 1
H2 H 0.5000 0.0000 0.0000 1
O1 O 0.1200 0.0239 0.6154 1
O2 O 0.2029 0.7042 0.2149 1
O3 O 0.2069 0.2023 0.4838 1
O4 O 0.2965 0.6464 0.9864 1
O5 O 0.4543 0.1457 0.3717 1
O6 O 0.4784 0.5891 0.5544 1
O7 O 0.4844 0.0548 0.7353 1
```

***

(2)
Diffraction record for CuN2F4. The PXRD pattern is theoretical, not measured: it uses a crystal structure in the Materials Project, relaxed with PBE and λ = 1.5418 Å (Cu Kα).
No peak broadening, texture or thermal motion is included.

Largest 12 diffraction maxima, low angle first, 2θ = 15–90°:
2θ 23.1, d = 3.852 Å, I 100, hkl 1 1 1
2θ 30.8, d = 2.899 Å, I 28, hkl 3 1 1
2θ 31.2, d = 2.865 Å, I 38, hkl 0 2 0
2θ 42.6, d = 2.121 Å, I 13, hkl 5 1 1
2θ 43.6, d = 2.074 Å, I 17, hkl 6 0 0
2θ 44.7, d = 2.026 Å, I 37, hkl 0 2 2
2θ 47.2, d = 1.926 Å, I 17, hkl 2 2 2
2θ 50.9, d = 1.793 Å, I 20, hkl 1 3 1
2θ 54.6, d = 1.680 Å, I 9, hkl 6 2 0
2θ 56.5, d = 1.628 Å, I 9, hkl 7 1 1
2θ 64.3, d = 1.449 Å, I 16, hkl 6 2 2
2θ 65.1, d = 1.432 Å, I 9, hkl 0 4 0

Crystal structure
```
data_CuN2F4
_chemical_formula_sum 'Cu4 N8 F16'
_space_group_name_H-M_alt 'C m c e'
_space_group_IT_number 64
_space_group_name_Hall '-C 2ac 2'
_cell_length_a 12.4457
_cell_length_b 5.7285
_cell_length_c 5.7307
_cell_angle_alpha 90.00
_cell_angle_beta 90.00
_cell_angle_gamma 90.00
loop_
_atom_site_label
_atom_site_type_symbol
_atom_site_fract_x
_atom_site_fract_y
_atom_site_fract_z
_atom_site_occupancy
Cu1 Cu 0.0000 0.0000 0.0000 1
N1 N 0.1512 0.0000 0.5000 1
F1 F 0.0000 0.2239 0.2241 1
F2 F 0.1450 0.0000 0.0000 1
```